Entry 1:
This entry pairs a crystal structure of Ta4NbIr with its computed PXRD pattern. Radiation: CuKα. Structure: a cell relaxed with PBE.
Lines closer than 0.1° are merged.

Atomic structure:
Cell lengths 4.4238, 4.4238, 6.3253 Å; angles 90.00, 90.00, 90.00 degrees
Positions (direct):
Ta  0.0000  0.5000  0.2467
Ta  0.0000  0.5000  0.7533
Ta  0.5000  0.0000  0.2467
Ta  0.5000  0.0000  0.7533
Nb  0.0000  0.0000  0.5000
Ir  0.5000  0.5000  0.0000

Principal peaks in the range 2θ from 10° to 90°, sorted by position:
| 2θ/deg | I_rel |
| --- | --- |
| 24.56 | 30 |
| 28.22 | 12 |
| 28.54 | 23 |
| 40.56 | 100 |
| 40.80 | 49 |
| 59.06 | 17 |
| 73.64 | 17 |
| 74.11 | 34 |


Entry 2:
This entry pairs a crystal structure of Nb2TcIr9 with its computed PXRD pattern. Radiation: CuKα. Structure: a cell relaxed with PBE.
Lines closer than 0.1° are merged.

Atomic structure:
Cell lengths 5.6251, 5.8242, 7.1230 Å; angles 113.16, 101.99, 103.36 degrees
Positions (direct):
Nb  0.0000  0.0000  0.0000
Nb  0.2904  0.3316  0.6511
Tc  0.4461  0.4628  0.3196
Ir  0.1629  0.5929  0.0251
Ir  0.3021  0.7773  0.6209
Ir  0.4791  0.0219  0.0358
Ir  0.4926  0.0027  0.3958
Ir  0.6566  0.6562  0.0633
Ir  0.6993  0.2147  0.8245
Ir  0.8613  0.4922  0.6310
Ir  0.8960  0.9189  0.5788
Ir  0.9171  0.4388  0.2584

Principal peaks in the range 2θ from 10° to 90°, sorted by position:
| 2θ/deg | I_rel |
| --- | --- |
| 19.93 | 68 |
| 39.85 | 36 |
| 40.50 | 100 |
| 40.83 | 78 |
| 41.46 | 41 |
| 41.92 | 53 |
| 42.25 | 59 |
| 44.85 | 39 |


Entry 3:
This entry pairs a crystal structure of NbTeIr with its computed PXRD pattern. Radiation: CuKα. Structure: a cell relaxed with PBE.
Lines closer than 0.1° are merged.

Atomic structure:
Cell lengths 3.6631, 3.6631, 10.5869 Å; angles 90.00, 90.00, 120.00 degrees
Positions (direct):
Nb  0.0000  0.0000  0.1522
Nb  0.0000  0.0000  0.8478
Te  0.3333  0.6667  0.3364
Te  0.3333  0.6667  0.6636
Ir  0.0000  0.0000  0.5000
Ir  0.3333  0.6667  0.0000

Principal peaks in the range 2θ from 10° to 90°, sorted by position:
| 2θ/deg | I_rel |
| --- | --- |
| 16.75 | 10 |
| 28.13 | 39 |
| 38.15 | 100 |
| 49.78 | 32 |
| 51.81 | 9 |
| 64.40 | 21 |
| 74.71 | 19 |
| 85.54 | 20 |


Entry 4:
This entry pairs a crystal structure of TiNb2Ir3 with its computed PXRD pattern. Radiation: CuKα. Structure: a cell relaxed with PBE.
Lines closer than 0.1° are merged.

Atomic structure:
Cell lengths 6.4933, 6.4933, 7.5186 Å; angles 90.00, 90.00, 143.17 degrees
Positions (direct):
Ti  0.1688  0.8312  0.0000
Ti  0.8312  0.1688  0.0000
Nb  0.1665  0.8335  0.5000
Nb  0.5000  0.5000  0.0000
Nb  0.5000  0.5000  0.5000
Nb  0.8335  0.1665  0.5000
Ir  0.0000  0.0000  0.2383
Ir  0.0000  0.0000  0.7617
Ir  0.3326  0.6674  0.2357
Ir  0.3326  0.6674  0.7643
Ir  0.6674  0.3326  0.2357
Ir  0.6674  0.3326  0.7643

Principal peaks in the range 2θ from 10° to 90°, sorted by position:
| 2θ/deg | I_rel |
| --- | --- |
| 23.67 | 14 |
| 30.80 | 16 |
| 39.21 | 100 |
| 44.12 | 37 |
| 48.43 | 13 |
| 67.58 | 19 |
| 77.81 | 13 |
| 77.88 | 13 |


Entry 5:
This entry pairs a crystal structure of TiNb2Ir5 with its computed PXRD pattern. Radiation: CuKα. Structure: a cell relaxed with PBE.
Lines closer than 0.1° are merged.

Atomic structure:
Cell lengths 5.5864, 11.1270, 3.9862 Å; angles 90.00, 90.00, 90.00 degrees
Positions (direct):
Ti  0.0000  0.0000  0.0000
Ti  0.5000  0.5000  0.0000
Nb  0.2118  0.3645  0.5000
Nb  0.2882  0.8645  0.5000
Nb  0.7118  0.1355  0.5000
Nb  0.7882  0.6355  0.5000
Ir  0.0000  0.5000  0.0000
Ir  0.0245  0.7517  0.0000
Ir  0.2272  0.1183  0.5000
Ir  0.2728  0.6183  0.5000
Ir  0.4755  0.2517  0.0000
Ir  0.5000  0.0000  0.0000
Ir  0.5245  0.7483  0.0000
Ir  0.7272  0.3817  0.5000
Ir  0.7728  0.8817  0.5000
Ir  0.9755  0.2483  0.0000

Principal peaks in the range 2θ from 10° to 90°, sorted by position:
| 2θ/deg | I_rel |
| --- | --- |
| 39.39 | 94 |
| 39.50 | 100 |
| 45.51 | 34 |
| 46.05 | 59 |
| 66.74 | 39 |
| 79.99 | 25 |
| 80.67 | 17 |
| 80.88 | 22 |


Entry 6:
This entry pairs a crystal structure of NbV4Ir5 with its computed PXRD pattern. Radiation: CuKα. Structure: a cell relaxed with PBE.
Lines closer than 0.1° are merged.

Atomic structure:
Cell lengths 2.7867, 2.7867, 18.5009 Å; angles 90.00, 90.00, 90.00 degrees
Positions (direct):
Nb  0.0000  0.0000  0.0000
V  0.0000  0.0000  0.2058
V  0.0000  0.0000  0.4018
V  0.0000  0.0000  0.5982
V  0.0000  0.0000  0.7942
Ir  0.5000  0.5000  0.1113
Ir  0.5000  0.5000  0.3041
Ir  0.5000  0.5000  0.5000
Ir  0.5000  0.5000  0.6959
Ir  0.5000  0.5000  0.8887

Principal peaks in the range 2θ from 10° to 90°, sorted by position:
| 2θ/deg | I_rel |
| --- | --- |
| 24.05 | 25 |
| 32.12 | 27 |
| 40.52 | 100 |
| 46.06 | 36 |
| 49.25 | 12 |
| 52.62 | 13 |
| 69.72 | 18 |
| 81.50 | 26 |


Entry 7:
This entry pairs a crystal structure of Nb2ZnIr3 with its computed PXRD pattern. Radiation: CuKα. Structure: a cell relaxed with PBE.
Lines closer than 0.1° are merged.

Atomic structure:
Cell lengths 2.9200, 2.9200, 10.9138 Å; angles 90.00, 90.00, 90.00 degrees
Positions (direct):
Nb  0.0000  0.0000  0.1773
Nb  0.0000  0.0000  0.8227
Zn  0.0000  0.0000  0.5000
Ir  0.5000  0.5000  0.0000
Ir  0.5000  0.5000  0.3459
Ir  0.5000  0.5000  0.6541

Principal peaks in the range 2θ from 10° to 90°, sorted by position:
| 2θ/deg | I_rel |
| --- | --- |
| 24.47 | 11 |
| 30.62 | 14 |
| 39.58 | 100 |
| 43.85 | 39 |
| 50.15 | 11 |
| 63.74 | 13 |
| 68.78 | 18 |
| 77.69 | 28 |


Entry 8:
This entry pairs a crystal structure of NbZn4Ir with its computed PXRD pattern. Radiation: CuKα. Structure: a cell relaxed with PBE.
Lines closer than 0.1° are merged.

Atomic structure:
Cell lengths 4.9577, 4.9577, 4.9577 Å; angles 60.00, 60.00, 60.00 degrees
Positions (direct):
Nb  0.0000  0.0000  0.0000
Zn  0.3747  0.3747  0.3747
Zn  0.3747  0.3747  0.8759
Zn  0.3747  0.8759  0.3747
Zn  0.8759  0.3747  0.3747
Ir  0.7500  0.7500  0.7500

Principal peaks in the range 2θ from 10° to 90°, sorted by position:
| 2θ/deg | I_rel |
| --- | --- |
| 21.96 | 11 |
| 36.24 | 52 |
| 42.78 | 100 |
| 44.78 | 21 |
| 65.19 | 19 |
| 69.69 | 30 |
| 76.92 | 22 |
| 88.12 | 9 |